For Cs3VH8Cl6O4, the PBE+U geometry in Alexandria gives the computed powder diffractogram in this record (CuKα).

Top 6 peaks for 2θ = 10–80°, in order of rising 2θ:
2θ/deg, intensity
20.25, 100
26.79, 34
28.62, 28
29.57, 95
36.47, 31
41.64, 20

Structure:
Unit cell a=10.4619 b=10.4619 c=10.4619 alpha=145.31 beta=132.52 gamma=60.13
Atoms (fractional coordinates):
Cs  0.0000  0.0000  0.0000
Cs  0.1926  0.6926  0.5000
Cs  0.8074  0.3074  0.5000
V  0.5000  0.5000  0.0000
H  0.3020  0.0913  0.5983
H  0.3020  0.7037  0.2108
H  0.4929  0.0913  0.7892
H  0.4929  0.7037  0.4017
H  0.5071  0.2963  0.5983
H  0.5071  0.9087  0.2108
H  0.6980  0.2963  0.7892
H  0.6980  0.9087  0.4017
Cl  0.0854  0.8447  0.2407
Cl  0.2198  0.5000  0.7198
Cl  0.3961  0.1553  0.2407
Cl  0.6039  0.8447  0.7593
Cl  0.7802  0.5000  0.2802
Cl  0.9146  0.1553  0.7593
O  0.4177  0.1863  0.7686
O  0.4177  0.6491  0.2314
O  0.5823  0.3509  0.7686
O  0.5823  0.8137  0.2314